# 1
For Sr3Mo2N4, a GGA-PBE-relaxed structure gives the computed X-ray diffraction stick pattern in this record (Cu Kα (weighted mean of Kα1 and Kα2)).

Atomic structure:
Cell: 7.3812 7.3812 5.7390 Å, 91.10 91.10 74.00°
Fractional coordinates of all 18 atoms:
Sr 0.1020 0.8980 0.7500
Sr 0.2507 0.5151 0.4720
Sr 0.4849 0.7493 0.0280
Sr 0.5151 0.2507 0.9720
Sr 0.7493 0.4849 0.5280
Sr 0.8980 0.1020 0.2500
Mo 0.0771 0.3278 0.9128
Mo 0.3278 0.0771 0.4128
Mo 0.6722 0.9229 0.5872
Mo 0.9229 0.6722 0.0872
N 0.0999 0.2347 0.5870
N 0.1988 0.5466 0.9858
N 0.2347 0.0999 0.0870
N 0.4534 0.8012 0.5142
N 0.5466 0.1988 0.4858
N 0.7653 0.9001 0.9130
N 0.8012 0.4534 0.0142
N 0.9001 0.7653 0.4130

Most intense lines, 10° ≤ 2θ ≤ 90°, low angle first:
29.0°, d 3.076, I = 54; 29.8°, d 2.998, I = 100; 31.2°, d 2.869, I = 13; 33.5°, d 2.673, I = 31; 39.6°, d 2.278, I = 35; 40.6°, d 2.221, I = 29; 41.1°, d 2.198, I = 26; 44.5°, d 2.036, I = 16; 44.6°, d 2.031, I = 16; 61.9°, d 1.499, I = 15

# 2
For Sr3Mo2N4, a GGA-PBE-relaxed structure gives the computed X-ray diffraction stick pattern in this record (Cu Kα (weighted mean of Kα1 and Kα2)).

Atomic structure:
Cell: 6.0009 10.5640 9.8157 Å, 90.00 90.00 90.00°
Fractional coordinates of all 36 atoms:
Sr 0.1216 0.1584 0.0805
Sr 0.1216 0.3416 0.4195
Sr 0.2500 0.0000 0.3997
Sr 0.2500 0.5000 0.1003
Sr 0.3784 0.6584 0.4195
Sr 0.3784 0.8416 0.0805
Sr 0.6216 0.1584 0.9195
Sr 0.6216 0.3416 0.5805
Sr 0.7500 0.0000 0.6003
Sr 0.7500 0.5000 0.8997
Sr 0.8784 0.6584 0.5805
Sr 0.8784 0.8416 0.9195
Mo 0.1363 0.2500 0.7500
Mo 0.2500 0.0000 0.7367
Mo 0.2500 0.5000 0.7633
Mo 0.3637 0.7500 0.7500
Mo 0.6363 0.2500 0.2500
Mo 0.7500 0.0000 0.2633
Mo 0.7500 0.5000 0.2367
Mo 0.8637 0.7500 0.2500
N 0.0088 0.0834 0.8390
N 0.0088 0.4166 0.6610
N 0.1523 0.6508 0.8733
N 0.1523 0.8492 0.6267
N 0.3477 0.1508 0.6267
N 0.3477 0.3492 0.8733
N 0.4912 0.5834 0.6610
N 0.4912 0.9166 0.8390
N 0.5088 0.0834 0.1610
N 0.5088 0.4166 0.3390
N 0.6523 0.6508 0.1267
N 0.6523 0.8492 0.3733
N 0.8477 0.1508 0.3733
N 0.8477 0.3492 0.1267
N 0.9912 0.5834 0.3390
N 0.9912 0.9166 0.1610

Most intense lines, 10° ≤ 2θ ≤ 90°, low angle first:
17.3°, d 5.120, I = 22; 26.9°, d 3.314, I = 51; 31.0°, d 2.886, I = 40; 31.1°, d 2.873, I = 100; 32.3°, d 2.771, I = 59; 34.7°, d 2.583, I = 42; 35.6°, d 2.522, I = 31; 38.7°, d 2.326, I = 21; 46.7°, d 1.944, I = 24; 56.7°, d 1.624, I = 23

# 3
For VMoN3, a GGA-PBE-relaxed structure gives the computed X-ray diffraction stick pattern in this record (Cu Kα (weighted mean of Kα1 and Kα2)).

Atomic structure:
Cell: 5.3169 7.7595 7.9837 Å, 118.93 92.40 106.79°
Fractional coordinates of all 20 atoms:
V 0.1123 0.0827 0.1916
V 0.3318 0.7868 0.8668
V 0.6682 0.2132 0.1332
V 0.8877 0.9173 0.8084
Mo 0.1418 0.7109 0.1466
Mo 0.2828 0.5694 0.4572
Mo 0.7173 0.4306 0.5428
Mo 0.8582 0.2891 0.8534
N 0.0515 0.7159 0.6497
N 0.0847 0.1377 0.7910
N 0.1214 0.5437 0.8571
N 0.3866 0.7404 0.3669
N 0.4081 0.9610 0.1435
N 0.4459 0.3427 0.3047
N 0.5541 0.6573 0.6953
N 0.5919 0.0390 0.8565
N 0.6134 0.2596 0.6331
N 0.8786 0.4563 0.1429
N 0.9153 0.8623 0.2090
N 0.9485 0.2841 0.3503

Most intense lines, 10° ≤ 2θ ≤ 90°, low angle first:
13.2°, d 6.690, I = 80; 18.4°, d 4.829, I = 96; 19.7°, d 4.509, I = 100; 22.3°, d 3.987, I = 53; 23.6°, d 3.774, I = 51; 26.4°, d 3.377, I = 71; 29.2°, d 3.063, I = 59; 37.2°, d 2.419, I = 91; 39.6°, d 2.274, I = 46; 45.1°, d 2.010, I = 64